Record 1
Diffraction record for Ga2CoO4. The X-ray powder pattern is calculated, not measured: it uses DFT lattice parameters and positions (GGA+U) and a wavelength of 1.5418 Å.

abc: 5.9106 5.9106 8.2901
angles: 90.00 90.00 90.00
Fractional coordinates of all 28 atoms:
Ga: 0.0000 0.2573 0.0000
Ga: 0.0000 0.7427 0.5000
Ga: 0.2438 0.2438 0.3750
Ga: 0.2438 0.7562 0.1250
Ga: 0.2573 0.0000 0.7500
Ga: 0.7427 0.0000 0.2500
Ga: 0.7562 0.2438 0.6250
Ga: 0.7562 0.7562 0.8750
Co: 0.2583 0.5000 0.7500
Co: 0.5000 0.2583 0.0000
Co: 0.5000 0.7417 0.5000
Co: 0.7417 0.5000 0.2500
O: 0.0147 0.2396 0.7600
O: 0.0147 0.7604 0.7400
O: 0.2384 0.4923 0.0002
O: 0.2384 0.5077 0.4998
O: 0.2396 0.0147 0.9900
O: 0.2396 0.9853 0.5100
O: 0.4923 0.2384 0.7498
O: 0.4923 0.7616 0.7502
O: 0.5077 0.2384 0.2502
O: 0.5077 0.7616 0.2498
O: 0.7604 0.0147 0.0100
O: 0.7604 0.9853 0.4900
O: 0.7616 0.4923 0.9998
O: 0.7616 0.5077 0.5002
O: 0.9853 0.2396 0.2400
O: 0.9853 0.7604 0.2600

Largest 10 diffraction maxima, low angle first, 2θ from 10° to 80°:
- 30.2°, intensity 15
- 30.4°, intensity 30
- 35.7°, intensity 100
- 35.9°, intensity 50
- 37.4°, intensity 16
- 43.3°, intensity 15
- 57.3°, intensity 27
- 57.8°, intensity 13
- 62.9°, intensity 21
- 63.2°, intensity 42

Record 2
Diffraction record for Ga2CoO4. The X-ray powder pattern is calculated, not measured: it uses DFT lattice parameters and positions (GGA+U) and a wavelength of 1.5418 Å.

abc: 5.9282 5.9282 5.9282
angles: 60.00 60.00 60.00
Fractional coordinates of all 14 atoms:
Ga: 0.0000 0.0000 0.0000
Ga: 0.0000 0.0000 0.5000
Ga: 0.0000 0.5000 0.0000
Ga: 0.5000 0.0000 0.0000
Co: 0.3750 0.3750 0.3750
Co: 0.6250 0.6250 0.6250
O: 0.2160 0.7613 0.7613
O: 0.2387 0.2387 0.2387
O: 0.2387 0.2387 0.7840
O: 0.2387 0.7840 0.2387
O: 0.7613 0.2160 0.7613
O: 0.7613 0.7613 0.2160
O: 0.7613 0.7613 0.7613
O: 0.7840 0.2387 0.2387

Largest 10 diffraction maxima, low angle first, 2θ from 10° to 80°:
- 18.3°, intensity 18
- 30.2°, intensity 24
- 35.5°, intensity 100
- 37.1°, intensity 15
- 43.2°, intensity 23
- 53.5°, intensity 8
- 57.1°, intensity 37
- 62.7°, intensity 45
- 74.2°, intensity 11
- 75.2°, intensity 9